Starting from DFT lattice parameters and positions (GGA-PBE), the XRD peak list of NaYTaP3O12 was computed for Cu Kα.
Peak positions follow from Bragg's law for the DFT cell and can differ from measured ones.

Crystal structure
```
data_NaYTaP3O12
_symmetry_space_group_name_H-M 'P 1'
_symmetry_Int_Tables_number 1
_cell_length_a 9.3186
_cell_length_b 9.3186
_cell_length_c 9.3186
_cell_angle_alpha 57.65
_cell_angle_beta 57.65
_cell_angle_gamma 57.65
loop_
_symmetry_equiv_pos_as_xyz
'x,y,z'
loop_
_atom_site_label
_atom_site_fract_x
_atom_site_fract_y
_atom_site_fract_z
Na1 0.0000 0.0000 0.0000
Na2 0.5000 0.5000 0.5000
Y1 0.3574 0.3574 0.3574
Y2 0.8574 0.8574 0.8574
Ta1 0.1507 0.1507 0.1507
Ta2 0.6507 0.6507 0.6507
P1 0.0384 0.7673 0.4550
P2 0.2673 0.5384 0.9550
P3 0.4550 0.0384 0.7673
P4 0.5384 0.9550 0.2673
P5 0.7673 0.4550 0.0384
P6 0.9550 0.2673 0.5384
O1 0.0123 0.7956 0.6123
O2 0.0509 0.9465 0.2833
O3 0.1123 0.2956 0.5123
O4 0.1130 0.7132 0.9132
O5 0.2132 0.6130 0.4132
O6 0.2319 0.3657 0.9992
O7 0.2833 0.0509 0.9465
O8 0.2956 0.5123 0.1123
O9 0.3657 0.9992 0.2319
O10 0.4132 0.2132 0.6130
O11 0.4465 0.5509 0.7833
O12 0.4992 0.8657 0.7319
O13 0.5123 0.1123 0.2956
O14 0.5509 0.7833 0.4465
O15 0.6123 0.0123 0.7956
O16 0.6130 0.4132 0.2132
O17 0.7132 0.9132 0.1130
O18 0.7319 0.4992 0.8657
O19 0.7833 0.4465 0.5509
O20 0.7956 0.6123 0.0123
O21 0.8657 0.7319 0.4992
O22 0.9132 0.1130 0.7132
O23 0.9465 0.2833 0.0509
O24 0.9992 0.2319 0.3657
```

The 6 most intense peaks (2θ from 15° to 90°), low angle first:
2θ = 19.07°, 4.653 Å, I = 82; 2θ = 19.76°, 4.493 Å, I = 100; 2θ = 22.89°, 3.885 Å, I = 46; 2θ = 27.60°, 3.232 Å, I = 48; 2θ = 30.48°, 2.932 Å, I = 78; 2θ = 34.58°, 2.594 Å, I = 37